Entry 1:
The following is a theoretical PXRD pattern of Ca3Pb. It was derived from a GGA-PBE-relaxed structure, using λ = 1.5418 Å (Cu Kα).
Lines closer than 0.1° are merged.

Top 8 peaks for 2θ from 10° to 90°, low angle first:
2θ/deg	I/Imax
17.46	64
24.78	58
30.48	100
35.33	50
39.67	36
43.64	28
50.83	35
60.43	41

a = 5.081 Å, b = 5.081 Å, c = 5.081 Å
α = 90.00°, β = 90.00°, γ = 90.00°
Sites, in units of the cell vectors:
Ca 0.000 0.000 0.500
Ca 0.000 0.500 0.000
Ca 0.500 0.000 0.000
Pb 0.500 0.500 0.500


Entry 2:
The following is a theoretical PXRD pattern of CaPdPb. It was derived from a GGA-PBE-relaxed structure, using λ = 1.5418 Å (Cu Kα).
Lines closer than 0.1° are merged.

Top 8 peaks for 2θ from 10° to 90°, low angle first:
2θ/deg	I/Imax
22.12	53
23.00	43
32.12	100
34.07	50
34.67	60
38.81	55
41.51	68
62.97	42

a = 8.038 Å, b = 8.038 Å, c = 3.867 Å
α = 90.00°, β = 90.00°, γ = 120.00°
Sites, in units of the cell vectors:
Ca 0.000 0.601 0.000
Ca 0.399 0.399 0.000
Ca 0.601 0.000 0.000
Pd 0.000 0.000 0.000
Pd 0.333 0.667 0.500
Pd 0.667 0.333 0.500
Pb 0.000 0.270 0.500
Pb 0.270 0.000 0.500
Pb 0.730 0.730 0.500


Entry 3:
The following is a theoretical PXRD pattern of CaPdPb. It was derived from a GGA-PBE-relaxed structure, using λ = 1.5418 Å (Cu Kα).
Lines closer than 0.1° are merged.

Top 8 peaks for 2θ from 10° to 90°, low angle first:
2θ/deg	I/Imax
16.06	47
21.37	77
24.18	47
30.92	46
32.49	89
37.42	100
37.55	65
38.24	50

a = 7.361 Å, b = 4.792 Å, c = 8.334 Å
α = 90.00°, β = 90.00°, γ = 90.00°
Sites, in units of the cell vectors:
Ca 0.019 0.250 0.195
Ca 0.481 0.750 0.695
Ca 0.519 0.250 0.305
Ca 0.981 0.750 0.805
Pd 0.217 0.750 0.404
Pd 0.283 0.250 0.904
Pd 0.717 0.750 0.096
Pd 0.783 0.250 0.596
Pb 0.178 0.250 0.579
Pb 0.322 0.750 0.079
Pb 0.678 0.250 0.921
Pb 0.822 0.750 0.421


Entry 4:
The following is a theoretical PXRD pattern of Ca4Rh6Pb19. It was derived from a GGA-PBE-relaxed structure, using λ = 1.5418 Å (Cu Kα).
Lines closer than 0.1° are merged.

Top 8 peaks for 2θ from 10° to 90°, low angle first:
2θ/deg	I/Imax
23.35	35
27.71	21
29.67	21
31.51	100
38.09	37
43.83	26
45.16	18
56.11	17

a = 10.431 Å, b = 10.431 Å, c = 10.431 Å
α = 109.47°, β = 109.47°, γ = 109.47°
Sites, in units of the cell vectors:
Ca 0.000 0.000 0.341
Ca 0.000 0.341 0.000
Ca 0.341 0.000 0.000
Ca 0.659 0.659 0.659
Rh 0.117 0.500 0.617
Rh 0.383 0.883 0.500
Rh 0.500 0.383 0.883
Rh 0.500 0.617 0.117
Rh 0.617 0.117 0.500
Rh 0.883 0.500 0.383
Pb 0.000 0.000 0.000
Pb 0.000 0.308 0.308
Pb 0.000 0.692 0.692
Pb 0.050 0.681 0.297
Pb 0.247 0.631 0.950
Pb 0.297 0.050 0.681
Pb 0.308 0.000 0.308
Pb 0.308 0.308 0.000
Pb 0.319 0.369 0.616
Pb 0.369 0.616 0.319
Pb 0.384 0.753 0.703
Pb 0.616 0.319 0.369
Pb 0.631 0.950 0.247
Pb 0.681 0.297 0.050
Pb 0.692 0.000 0.692
Pb 0.692 0.692 0.000
Pb 0.703 0.384 0.753
Pb 0.753 0.703 0.384
Pb 0.950 0.247 0.631


Entry 5:
The following is a theoretical PXRD pattern of Ca3PbSe4. It was derived from a GGA-PBE-relaxed structure, using λ = 1.5418 Å (Cu Kα).
Lines closer than 0.1° are merged.

Top 8 peaks for 2θ from 10° to 90°, low angle first:
2θ/deg	I/Imax
10.33	17
29.53	100
42.23	62
42.39	12
52.31	13
52.47	13
69.39	16
77.15	12

a = 4.264 Å, b = 6.061 Å, c = 8.567 Å
α = 90.00°, β = 90.00°, γ = 90.00°
Sites, in units of the cell vectors:
Ca 0.000 0.000 0.000
Ca 0.500 0.500 0.248
Ca 0.500 0.500 0.752
Pb 0.000 0.000 0.500
Se 0.000 0.500 0.000
Se 0.000 0.500 0.500
Se 0.500 0.000 0.240
Se 0.500 0.000 0.760


Entry 6:
The following is a theoretical PXRD pattern of CaPb3Se4. It was derived from a GGA-PBE-relaxed structure, using λ = 1.5418 Å (Cu Kα).
Lines closer than 0.1° are merged.

Top 8 peaks for 2θ from 10° to 90°, low angle first:
2θ/deg	I/Imax
24.97	22
28.91	100
41.33	64
51.17	14
51.28	14
67.83	29
75.31	13
75.45	13

a = 7.570 Å, b = 7.570 Å, c = 4.361 Å
α = 90.00°, β = 90.00°, γ = 109.40°
Sites, in units of the cell vectors:
Ca 0.000 0.000 0.000
Pb 0.000 0.500 0.500
Pb 0.500 0.000 0.500
Pb 0.500 0.500 0.000
Se 0.241 0.241 0.500
Se 0.245 0.755 0.000
Se 0.755 0.245 0.000
Se 0.759 0.759 0.500


Copy entry 1 word for word.
The following is a theoretical PXRD pattern of Ca3Pb. It was derived from a GGA-PBE-relaxed structure, using λ = 1.5418 Å (Cu Kα).
Lines closer than 0.1° are merged.

Top 8 peaks for 2θ from 10° to 90°, low angle first:
2θ/deg	I/Imax
17.46	64
24.78	58
30.48	100
35.33	50
39.67	36
43.64	28
50.83	35
60.43	41

a = 5.081 Å, b = 5.081 Å, c = 5.081 Å
α = 90.00°, β = 90.00°, γ = 90.00°
Sites, in units of the cell vectors:
Ca 0.000 0.000 0.500
Ca 0.000 0.500 0.000
Ca 0.500 0.000 0.000
Pb 0.500 0.500 0.500